Li5Mn3O8: simulated powder X-ray diffraction pattern (Cu Kα), based on a crystal structure in Alexandria, relaxed with PBE+U.
Peak positions follow from Bragg's law for the DFT cell and can differ from measured ones.

Top 10 peaks for 10 to 90 degrees two-theta, in order of falling intensity:
hkl	two_theta	I (rel.)
2 0 0	18.54	100
2 2 1	44.40	61
4 0 -2	42.12	35
0 2 1	36.40	28
1 1 0	17.99	19
2 2 -3	62.68	17
6 2 -1	63.02	16
0 0 1	18.42	15
2 0 -2	34.89	13
1 1 -1	23.20	12

Cell and atoms:
```
data_Li5Mn3O8
_cell_length_a 10.3203
_cell_length_b 5.7519
_cell_length_c 5.1929
_cell_angle_alpha 90.00
_cell_angle_beta 111.98
_cell_angle_gamma 90.00
_space_group_name_H-M_alt 'C 1 2/m 1'
_space_group_IT_number 12
loop_
_space_group_symop_operation_xyz
'x,y,z'
'-x,-y,-z'
'-x,y,-z'
'x,-y,z'
'x+1/2,y+1/2,z'
'-x+1/2,-y+1/2,-z'
'-x+1/2,y+1/2,-z'
'x+1/2,-y+1/2,z'
loop_
_atom_site_label
_atom_site_fract_x
_atom_site_fract_y
_atom_site_fract_z
Li1 0.0000 0.0000 0.0000
Li2 0.2465 0.0000 0.4896
Li3 0.2500 0.2500 0.0000
Mn1 0.0000 0.2474 0.5000
Mn2 0.0000 0.5000 0.0000
O1 0.1064 0.2594 0.2604
O2 0.1167 0.0000 0.7190
O3 0.1192 0.5000 0.7263
```